1.
For Li2TbZr2S6, the PBE geometry in Alexandria gives the theoretical X-ray diffraction stick pattern in this record (λ = 1.5418 Å (Cu Kα)).

Crystal structure
```
Li2TbZr2S6
1.0
3.2346 -5.6469 0.0000
3.2346 5.6469 0.0000
-2.1821 0.0000 6.2132
Li Tb Zr S
2 1 2 6
Direct
0.1665 0.8335 0.0000
0.8335 0.1665 0.0000
0.0000 0.0000 0.5000
0.3350 0.6650 0.5000
0.6650 0.3350 0.5000
0.0779 0.4293 0.7444
0.2632 0.2632 0.2525
0.4293 0.0779 0.7444
0.5707 0.9221 0.2556
0.7368 0.7368 0.7475
0.9221 0.5707 0.2556
```

Principal peaks in the range 10 to 90 degrees two-theta, by intensity:
2θ/deg  I/Imax
14.26  100.0
33.64  97.8
27.84  38.8
47.98  22.7
48.66  21.6
27.98  19.4
43.98  18.2
36.62  17.9
48.23  11.2
60.21  11.0

---

2.
For Nd7SmY4, the PBE geometry in Alexandria gives the theoretical X-ray diffraction stick pattern in this record (λ = 1.5418 Å (Cu Kα)).

Crystal structure
```
Nd7SmY4
1.0
6.3688 0.0000 0.0000
0.0030 7.3386 0.0000
2.1230 0.0011 8.8020
Nd Sm Y
7 1 4
Direct
0.0000 0.0000 0.0000
0.2217 0.5007 0.3339
0.2787 0.7496 0.6654
0.4988 0.7523 0.0005
0.5012 0.2477 0.9995
0.7213 0.2504 0.3346
0.7783 0.4993 0.6661
0.0000 0.5000 0.0000
0.2200 0.0004 0.3346
0.2787 0.2470 0.6669
0.7213 0.7530 0.3331
0.7800 0.9996 0.6654
```

Principal peaks in the range 10 to 90 degrees two-theta, by intensity:
2θ/deg  I/Imax
31.21  100.0
32.87  89.1
30.47  48.8
59.37  43.4
28.26  42.8
49.64  37.3
53.53  21.5
56.74  18.7
39.34  17.0
84.53  16.5

---

3.
For RbNaTl2As, the PBE geometry in Alexandria gives the theoretical X-ray diffraction stick pattern in this record (λ = 1.5418 Å (Cu Kα)).

Crystal structure
```
RbNaTl2As
1.0
-2.3488 2.6780 6.4992
2.3488 -2.6780 6.4992
2.3488 2.6780 -6.4992
Rb Na Tl As
1 1 2 1
Direct
0.0000 0.0000 0.0000
0.2208 0.7208 0.5000
0.3906 0.3906 0.0000
0.7470 0.2470 0.5000
0.6061 0.6061 0.0000
```

Principal peaks in the range 10 to 90 degrees two-theta, by intensity:
2θ/deg  I/Imax
28.77  100.0
20.10  62.1
26.46  50.1
37.61  47.6
33.46  38.2
38.49  26.8
38.32  26.4
17.91  25.9
51.76  24.0
39.34  23.3

---

4.
For Ac6CoSn3, the PBE geometry in Alexandria gives the theoretical X-ray diffraction stick pattern in this record (λ = 1.5418 Å (Cu Kα)).

Crystal structure
```
Ac6CoSn3
1.0
7.1355 4.1197 4.4823
-7.1355 4.1197 4.4823
0.0000 -8.2393 4.4823
Ac Co Sn
12 2 6
Direct
0.0101 0.6890 0.9447
0.0553 0.9899 0.3110
0.1996 0.4296 0.5591
0.3110 0.0553 0.9899
0.4296 0.5591 0.1996
0.4409 0.8004 0.5704
0.5591 0.1996 0.4296
0.5704 0.4409 0.8004
0.6890 0.9447 0.0101
0.8004 0.5704 0.4409
0.9447 0.0101 0.6890
0.9899 0.3110 0.0553
0.0000 0.0000 0.0000
0.5000 0.5000 0.5000
0.1166 0.6458 0.3050
0.3050 0.1166 0.6458
0.3542 0.6950 0.8834
0.6458 0.3050 0.1166
0.6950 0.8834 0.3542
0.8834 0.3542 0.6950
```

Principal peaks in the range 10 to 90 degrees two-theta, by intensity:
2θ/deg  I/Imax
29.24  100.0
32.82  73.3
23.19  62.1
27.50  50.3
33.22  47.1
34.33  38.0
47.94  23.6
31.88  22.8
45.85  22.6
62.62  22.0

---

5.
For SrGa3Pt3, the PBE geometry in Alexandria gives the theoretical X-ray diffraction stick pattern in this record (λ = 1.5418 Å (Cu Kα)).

Crystal structure
```
SrGa3Pt3
1.0
8.0230 0.0000 0.0000
0.0000 8.0230 0.0000
0.0000 0.0000 8.0230
Sr Ga Pt
4 12 12
Direct
0.0558 0.4442 0.5558
0.4442 0.5558 0.0558
0.5558 0.0558 0.4442
0.9442 0.9442 0.9442
0.0359 0.3104 0.9258
0.0742 0.5359 0.1896
0.1896 0.0742 0.5359
0.3104 0.9258 0.0359
0.4258 0.4641 0.6896
0.4641 0.6896 0.4258
0.5359 0.1896 0.0742
0.5742 0.9641 0.8104
0.6896 0.4258 0.4641
0.8104 0.5742 0.9641
0.9258 0.0359 0.3104
0.9641 0.8104 0.5742
0.1157 0.6157 0.8843
0.1866 0.8134 0.3134
0.1882 0.1882 0.1882
0.3118 0.8118 0.6882
0.3134 0.1866 0.8134
0.3843 0.3843 0.3843
0.6157 0.8843 0.1157
0.6866 0.6866 0.6866
0.6882 0.3118 0.8118
0.8118 0.6882 0.3118
0.8134 0.3134 0.1866
0.8843 0.1157 0.6157
```

Principal peaks in the range 10 to 90 degrees two-theta, by intensity:
2θ/deg  I/Imax
42.14  100.0
35.38  77.0
58.68  39.2
27.23  38.1
31.54  21.6
77.03  17.2
40.54  15.9
48.12  14.7
37.17  12.7
56.16  12.3

---

6.
For Mg2TiO4, the PBE geometry in Alexandria gives the theoretical X-ray diffraction stick pattern in this record (λ = 1.5418 Å (Cu Kα)).

Crystal structure
```
Mg2TiO4
1.0
5.3019 -1.5181 0.0000
5.3019 1.5181 0.0000
-2.4014 0.0000 4.6219
Mg Ti O
2 1 4
Direct
0.1975 0.1975 0.1813
0.8025 0.8025 0.8187
0.5000 0.5000 0.5000
0.1253 0.1253 0.4797
0.3779 0.3779 0.0922
0.6221 0.6221 0.9078
0.8747 0.8747 0.5203
```

Principal peaks in the range 10 to 90 degrees two-theta, by intensity:
2θ/deg  I/Imax
19.77  100.0
34.19  94.9
41.39  91.4
33.86  67.9
32.83  64.4
61.56  59.4
39.01  51.5
55.61  48.0
39.63  44.9
54.22  43.7